Structure and computed X-ray diffraction stick pattern of CaLaPr4Sm2 (a crystal structure in Alexandria, relaxed with PBE; Cu Kα).
Lines closer than 0.1° are merged.

a b c (Å): 9.8209 9.8209 7.0124
angles (deg): 110.92 110.92 88.39
Positions (direct):
Ca 0.0000 0.0000 0.0000
Ca 0.0000 0.0000 0.5000
La 0.0000 0.5000 0.0000
La 0.5000 0.0000 0.5000
Pr 0.2507 0.7487 0.5012
Pr 0.2513 0.7493 0.9988
Pr 0.2603 0.2613 0.5099
Pr 0.2613 0.2603 0.0099
Pr 0.7387 0.7397 0.9901
Pr 0.7397 0.7387 0.4901
Pr 0.7487 0.2507 0.0012
Pr 0.7493 0.2513 0.4988
Sm 0.0000 0.5000 0.5000
Sm 0.5000 0.0000 0.0000
Sm 0.5000 0.5000 0.0000
Sm 0.5000 0.5000 0.5000

The 10 most intense peaks (10 to 90 degrees two-theta), sorted by position:
- 26.03°, I 68
- 29.25°, I 50
- 29.37°, I 100
- 39.55°, I 44
- 39.65°, I 89
- 51.95°, I 19
- 59.00°, I 26
- 59.22°, I 14
- 62.22°, I 35
- 67.40°, I 18